Theoretical X-ray powder pattern
Compound: Mn3CdTe4
Radiation: Cu Kα (weighted mean of Kα1 and Kα2)
Structure: a cell relaxed with PBE
Peak positions follow from Bragg's law for the DFT cell and can differ from measured ones.

Cell and atoms:
a = 15.0167 Å, b = 15.0167 Å, c = 15.0167 Å
α = 17.46°, β = 17.46°, γ = 17.46°
Fractional positions:
Mn  0.0000  0.0000  0.0000
Mn  0.2513  0.2513  0.2513
Mn  0.7485  0.7485  0.7485
Cd  0.5009  0.5009  0.5009
Te  0.0623  0.0623  0.0623
Te  0.3135  0.3135  0.3135
Te  0.5654  0.5654  0.5654
Te  0.8101  0.8101  0.8101

Peak list (10 most intense, 15 to 90 degrees two-theta, sorted by position)
23.9 deg, I 100
24.1 deg, I 32
27.7 deg, I 9
39.5 deg, I 49
39.7 deg, I 47
46.8 deg, I 48
47.0 deg, I 15
57.3 deg, I 16
62.9 deg, I 13
71.9 deg, I 15